For TeMoWSeS2, a crystal structure in the Materials Project, relaxed with GGA-PBE gives the calculated PXRD pattern in this record (a wavelength of 1.5418 Å).
Neutral-atom scattering factors, no anomalous dispersion.

Structural model:
abc: 3.3062 3.3062 37.6412
angles: 90.00 90.00 120.00
Space group P3m1 (No. 156)
Symmetry-distinct sites (fractional):
Te 0.0000 0.0000 0.0000 [1 per cell]
Te 0.0000 0.0000 0.1016 [1 per cell]
Mo 0.0000 0.0000 0.4872 [1 per cell]
Mo 0.3333 0.6667 0.0508 [1 per cell]
W 0.0000 0.0000 0.8629 [1 per cell]
W 0.3333 0.6667 0.6750 [1 per cell]
Se 0.0000 0.0000 0.6302 [1 per cell]
Se 0.0000 0.0000 0.7199 [1 per cell]
S 0.3333 0.6667 0.4466 [1 per cell]
S 0.3333 0.6667 0.5278 [1 per cell]
S 0.3333 0.6667 0.8221 [1 per cell]
S 0.3333 0.6667 0.9036 [1 per cell]

Main lines, low angle first (2θ from 5° to 70°):
(hkl), d/Å, 2θ (°), I_rel
0 0 3, 12.547, 7.05, 27
0 0 5, 7.528, 11.76, 100
0 0 6, 6.274, 14.12, 27
1 0 0, 2.861, 31.26, 44
1 0 5, 2.676, 33.48, 13
0 1 8, 2.446, 36.74, 76
0 1 9, 2.363, 38.09, 11
1 0 13, 2.036, 44.50, 40
0 1 14, 1.960, 46.32, 16
1 1 0, 1.653, 55.61, 26
1 1 5, 1.615, 57.04, 11
2 0 8, 1.370, 68.51, 12